This entry pairs a crystal structure of NaU3Tl4Te8 with its theoretical powder diffraction line list. Radiation: Cu Kα X-rays. Structure: a crystal structure in Alexandria, relaxed with GGA-PBE.
Lines closer than 0.1° are merged.

Most intense lines, 2θ from 15° to 90°, low angle first:
2θ 27.2, I 100
2θ 37.4, I 39
2θ 40.2, I 37
2θ 44.4, I 7
2θ 49.2, I 20
2θ 56.1, I 12
2θ 61.4, I 15
2θ 65.4, I 17
2θ 71.2, I 12
2θ 73.1, I 6

Atomic structure:
Lattice parameters (Å, degrees): 9.666 9.666 9.666 55.30 55.30 55.30
Fractional coordinates of all 16 atoms:
Na 0.000 0.000 0.000
U 0.000 0.500 0.500
U 0.500 0.000 0.500
U 0.500 0.500 0.000
Tl 0.000 0.000 0.500
Tl 0.000 0.500 0.000
Tl 0.500 0.000 0.000
Tl 0.500 0.500 0.500
Te 0.245 0.245 0.724
Te 0.245 0.724 0.245
Te 0.262 0.262 0.262
Te 0.276 0.755 0.755
Te 0.724 0.245 0.245
Te 0.738 0.738 0.738
Te 0.755 0.276 0.755
Te 0.755 0.755 0.276